Theoretical powder XRD pattern
Compound: Ca5P3O12
Radiation: Cu Kα X-rays
Structure: a DFT-relaxed cell (PBE, the Materials Project)

Structural model:
Cell: 9.5472 9.5472 6.8895 Å, 90.00 90.00 120.00°
Fractional coordinates of all 40 atoms:
Ca 0.0038 0.2509 0.2500
Ca 0.2471 0.9962 0.2500
Ca 0.2509 0.2471 0.7500
Ca 0.3333 0.6667 0.0009
Ca 0.3333 0.6667 0.4991
Ca 0.6667 0.3333 0.5009
Ca 0.6667 0.3333 0.9991
Ca 0.7491 0.7529 0.2500
Ca 0.7529 0.0038 0.7500
Ca 0.9962 0.7491 0.7500
P 0.0298 0.3990 0.7500
P 0.3692 0.9702 0.7500
P 0.3990 0.3692 0.2500
P 0.6010 0.6308 0.7500
P 0.6308 0.0298 0.2500
P 0.9702 0.6010 0.2500
O 0.0857 0.3428 0.5691
O 0.0857 0.3428 0.9309
O 0.1220 0.5881 0.7500
O 0.1560 0.6714 0.2500
O 0.2571 0.9143 0.5691
O 0.2571 0.9143 0.9309
O 0.3286 0.4846 0.2500
O 0.3428 0.2571 0.0691
O 0.3428 0.2571 0.4309
O 0.4119 0.5339 0.7500
O 0.4661 0.8780 0.7500
O 0.4846 0.1560 0.7500
O 0.5154 0.8440 0.2500
O 0.5339 0.1220 0.2500
O 0.5881 0.4661 0.2500
O 0.6572 0.7429 0.5691
O 0.6572 0.7429 0.9309
O 0.6714 0.5154 0.7500
O 0.7429 0.0857 0.0691
O 0.7429 0.0857 0.4309
O 0.8440 0.3286 0.7500
O 0.8780 0.4119 0.2500
O 0.9143 0.6572 0.0691
O 0.9143 0.6572 0.4309

Peak list (8 most intense, 10° ≤ 2θ ≤ 80°, most intense first)
31.43 deg, d 2.846, intensity 100; 32.04 deg, d 2.793, intensity 57; 32.49 deg, d 2.756, intensity 51; 10.70 deg, d 8.268, intensity 42; 46.28 deg, d 1.962, intensity 37; 49.24 deg, d 1.851, intensity 35; 25.86 deg, d 3.445, intensity 28; 28.56 deg, d 3.125, intensity 25

Theoretical powder XRD pattern
Compound: AgC6
Radiation: Cu Kα X-rays
Structure: a DFT-relaxed cell (PBE, the Materials Project)

Structural model:
Cell: 6.7689 6.7689 5.2833 Å, 90.00 90.00 135.32°
Fractional coordinates of all 7 atoms:
Ag 0.0000 0.0000 0.0000
C 0.0000 0.0000 0.3796
C 0.0000 0.0000 0.6204
C 0.1187 0.6234 0.0000
C 0.3766 0.8813 0.0000
C 0.6234 0.1187 0.0000
C 0.8813 0.3766 0.0000

Peak list (8 most intense, 10° ≤ 2θ ≤ 80°, most intense first)
18.64 deg, d 4.759, intensity 100; 16.78 deg, d 5.283, intensity 70; 25.18 deg, d 3.536, intensity 46; 27.52 deg, d 3.242, intensity 36; 14.15 deg, d 6.261, intensity 35; 28.51 deg, d 3.130, intensity 30; 38.98 deg, d 2.311, intensity 28; 33.27 deg, d 2.693, intensity 24